The following is a simulated X-ray powder pattern of CeNdPN. It was derived from a structure optimized by DFT (PBE), using Cu Kα, 1.54184 Å.
Lines closer than 0.1° are merged.

Top 10 peaks for 2θ = 10–90°, by angle:
- d = 3.201 Å, intensity 23.7
- d = 3.134 Å, intensity 78.8
- d = 2.728 Å, intensity 100.0
- d = 1.944 Å, intensity 30.4
- d = 1.914 Å, intensity 36.9
- d = 1.643 Å, intensity 21.5
- d = 1.633 Å, intensity 12.3
- d = 1.567 Å, intensity 18.0
- d = 1.212 Å, intensity 15.3
- d = 1.111 Å, intensity 10.0

Cell and atoms:
```
4
Lattice="1.9140 1.1050 6.4015 -1.9140 1.1050 6.4015 0.0000 -2.2101 6.4015" Properties=species:S:1:pos:R:3 pbc="T T T"
Ce 0.0000 0.0000 0.0000
Nd 0.0000 0.0000 9.2125
P 0.0000 0.0000 4.6419
N 0.0000 0.0000 14.0571
```

***

The following is a simulated X-ray powder pattern of AlSi. It was derived from a structure optimized by DFT (PBE), using Cu Kα, 1.54184 Å.
Lines closer than 0.1° are merged.

Top 10 peaks for 2θ = 10–90°, by angle:
- d = 2.331 Å, intensity 56.3
- d = 2.276 Å, intensity 51.6
- d = 2.249 Å, intensity 100.0
- d = 2.016 Å, intensity 69.2
- d = 1.889 Å, intensity 30.4
- d = 1.390 Å, intensity 15.4
- d = 1.367 Å, intensity 19.0
- d = 1.212 Å, intensity 11.6
- d = 1.200 Å, intensity 13.6
- d = 1.192 Å, intensity 13.0

Cell and atoms:
```
6
Lattice="4.7082 -1.3994 0.0000 4.7082 1.3994 0.0000 -2.8624 0.0000 6.9957" Properties=species:S:1:pos:R:3 pbc="T T T"
Al 0.0000 0.0000 0.0000
Al -1.5008 0.0000 3.8032
Al 2.6181 0.0000 1.4070
Si 1.0458 0.0000 4.6453
Si 5.1982 0.0000 2.3591
Si 3.9849 0.0000 6.1117
```

***

The following is a simulated X-ray powder pattern of VPd. It was derived from a structure optimized by DFT (PBE), using Cu Kα, 1.54184 Å.
Lines closer than 0.1° are merged.

Top 10 peaks for 2θ = 10–90°, by angle:
- d = 3.243 Å, intensity 12.5
- d = 2.385 Å, intensity 24.2
- d = 2.211 Å, intensity 39.3
- d = 2.099 Å, intensity 100.0
- d = 2.063 Å, intensity 47.1
- d = 1.621 Å, intensity 14.0
- d = 1.356 Å, intensity 15.8
- d = 1.254 Å, intensity 17.4
- d = 1.156 Å, intensity 17.8
- d = 1.151 Å, intensity 12.9

Cell and atoms:
```
16
Lattice="9.3284 0.0000 0.0000 0.0000 4.4218 0.0000 0.0000 0.0000 5.5500" Properties=species:S:1:pos:R:3 pbc="T T T"
V 0.7668 1.1054 1.3825
V 1.5148 3.3163 2.8610
V 3.1494 1.1054 0.0860
V 3.8975 3.3163 4.1575
V 5.4310 1.1054 1.3925
V 6.1791 3.3163 5.4639
V 7.8136 1.1054 2.6889
V 8.5617 3.3163 4.1675
Pd 0.7681 1.1054 4.1347
Pd 1.5513 3.3163 0.0162
Pd 3.1129 1.1054 2.7912
Pd 3.8961 3.3163 1.3597
Pd 5.4323 1.1054 4.1902
Pd 6.2155 3.3163 2.7588
Pd 7.7771 1.1054 5.5338
Pd 8.5603 3.3163 1.4152
```

***

The following is a simulated X-ray powder pattern of Pm2Pr4H2Pb3. It was derived from a structure optimized by DFT (PBE), using Cu Kα, 1.54184 Å.
Lines closer than 0.1° are merged.

Top 10 peaks for 2θ = 10–90°, by angle:
- d = 4.771 Å, intensity 21.7
- d = 3.320 Å, intensity 35.0
- d = 3.043 Å, intensity 20.2
- d = 2.977 Å, intensity 18.2
- d = 2.705 Å, intensity 100.0
- d = 2.425 Å, intensity 52.3
- d = 1.786 Å, intensity 14.1
- d = 1.715 Å, intensity 18.4
- d = 1.523 Å, intensity 12.0
- d = 1.448 Å, intensity 30.1

Cell and atoms:
```
11
Lattice="-2.4253 2.4253 13.1967 2.4253 -2.4253 13.1967 2.4253 2.4253 -13.1967" Properties=species:S:1:pos:R:3 pbc="T T T"
Pm 0.0000 0.0000 5.2695
Pm 0.0000 0.0000 21.1239
Pr 2.4253 0.0000 2.2182
Pr 2.4253 0.0000 10.9785
Pr 0.0000 2.4253 2.2182
Pr 0.0000 2.4253 10.9785
H 0.0000 0.0000 2.8068
H 0.0000 0.0000 23.5866
Pb 0.0000 0.0000 8.5232
Pb 0.0000 0.0000 13.1967
Pb 0.0000 0.0000 17.8702
```

***

The following is a simulated X-ray powder pattern of CaNpMo2N6. It was derived from a structure optimized by DFT (PBE), using Cu Kα, 1.54184 Å.
Lines closer than 0.1° are merged.

Top 10 peaks for 2θ = 10–90°, by angle:
- d = 4.856 Å, intensity 65.8
- d = 4.117 Å, intensity 75.5
- d = 3.552 Å, intensity 100.0
- d = 3.269 Å, intensity 88.0
- d = 3.177 Å, intensity 45.1
- d = 3.082 Å, intensity 92.6
- d = 2.869 Å, intensity 83.5
- d = 2.845 Å, intensity 83.8
- d = 2.809 Å, intensity 85.8
- d = 1.562 Å, intensity 56.2

Cell and atoms:
```
20
Lattice="5.1626 -5.0298 0.0000 5.1626 5.0298 0.0000 -1.3871 0.0000 5.6901" Properties=species:S:1:pos:R:3 pbc="T T T"
Ca 4.1223 4.1425 4.2676
Ca 4.8158 -4.1425 1.4225
Np 4.8158 2.1021 1.4225
Np 4.1223 -2.1021 4.2676
Mo 2.1102 0.8977 4.0785
Mo 2.8038 -0.8977 1.2334
Mo 6.1343 0.8977 4.4566
Mo 6.8278 -0.8977 1.6116
N 0.3165 1.1514 3.7496
N 2.7403 2.3091 5.0463
N 1.0101 -1.1514 0.9046
N 3.0569 0.6246 2.3870
N 5.5042 2.3091 3.4888
N 2.3634 -0.6246 5.2320
N 6.5746 0.6246 0.4580
N 3.4338 -2.3091 2.2013
N 5.8811 -0.6246 3.3031
N 7.9280 1.1514 4.7855
N 6.1978 -2.3091 0.6438
N 8.6215 -1.1514 1.9405
```

***

The following is a simulated X-ray powder pattern of KNpI6. It was derived from a structure optimized by DFT (PBE), using Cu Kα, 1.54184 Å.
Lines closer than 0.1° are merged.

Top 10 peaks for 2θ = 10–90°, by angle:
- d = 7.258 Å, intensity 24.5
- d = 6.598 Å, intensity 78.7
- d = 5.842 Å, intensity 37.6
- d = 4.286 Å, intensity 21.4
- d = 3.506 Å, intensity 100.0
- d = 3.488 Å, intensity 32.6
- d = 2.696 Å, intensity 25.1
- d = 2.688 Å, intensity 37.5
- d = 2.306 Å, intensity 29.0
- d = 2.072 Å, intensity 23.4

Cell and atoms:
```
8
Lattice="7.9749 0.0000 0.0000 -3.9870 6.9405 0.0000 -3.9545 -2.2963 7.2584" Properties=species:S:1:pos:R:3 pbc="T T T"
K 0.0000 0.0000 0.0000
Np -3.9707 2.3221 3.6292
I -1.5907 2.6452 1.9405
I -2.4961 0.4143 5.3051
I -3.0497 4.5451 5.3115
I 3.0831 0.0991 1.9469
I 2.5295 4.2299 1.9533
I 1.6241 1.9990 5.3179
```

***

The following is a simulated X-ray powder pattern of MgCrB14. It was derived from a structure optimized by DFT (PBE), using Cu Kα, 1.54184 Å.
Lines closer than 0.1° are merged.

Top 10 peaks for 2θ = 10–90°, by angle:
- d = 6.367 Å, intensity 100.0
- d = 5.134 Å, intensity 26.6
- d = 4.058 Å, intensity 16.6
- d = 3.183 Å, intensity 31.7
- d = 2.674 Å, intensity 51.3
- d = 2.217 Å, intensity 20.2
- d = 2.169 Å, intensity 22.2
- d = 2.163 Å, intensity 27.8
- d = 2.153 Å, intensity 57.7
- d = 2.122 Å, intensity 21.2

Cell and atoms:
```
32
Lattice="-2.9467 5.1340 4.0579 2.9467 -5.1340 4.0579 2.9467 5.1340 -4.0579" Properties=species:S:1:pos:R:3 pbc="T T T"
Mg 0.0000 2.5670 1.2859
Mg 2.9467 2.5670 2.7720
Cr 1.4733 2.5670 -2.0290
Cr 1.4733 -2.5670 2.0290
B 1.4951 0.8417 -0.3724
B 4.3983 0.8417 -0.3724
B 2.9467 -3.5802 3.1770
B 2.9467 -0.9194 1.4143
B 2.9467 1.7157 0.2681
B 2.0165 0.6371 1.3369
B 3.8769 0.6371 1.3369
B 2.9467 4.2146 -1.4143
B 2.9467 -1.5538 3.1770
B 2.9467 3.4184 0.2681
B 1.4951 4.2923 -0.3724
B 1.4516 -0.8417 3.6855
B 2.0165 5.7712 -1.3369
B 0.9302 0.6371 2.7210
B 2.0165 4.4969 1.3369
B 0.9302 -0.6371 5.3948
B 1.4951 5.9757 0.3724
B 1.4516 0.8417 4.4303
B 0.0000 1.7157 3.7899
B 0.0000 6.6878 0.8809
B 0.0000 0.9194 5.4722
B -0.9302 4.4969 2.7210
B 0.9302 4.4969 2.7210
B 0.0000 3.4184 3.7899
B 0.0000 6.0535 2.6437
B 0.0000 8.7143 0.8809
B -1.4516 4.2923 4.4303
B 1.4516 4.2923 4.4303
```

***

The following is a simulated X-ray powder pattern of Dy5Bi2H. It was derived from a structure optimized by DFT (PBE), using Cu Kα, 1.54184 Å.
Lines closer than 0.1° are merged.

Top 10 peaks for 2θ = 10–90°, by angle:
- d = 5.512 Å, intensity 9.6
- d = 4.950 Å, intensity 8.7
- d = 2.756 Å, intensity 100.0
- d = 2.475 Å, intensity 37.5
- d = 2.235 Å, intensity 14.0
- d = 1.750 Å, intensity 13.3
- d = 1.659 Å, intensity 22.4
- d = 1.477 Å, intensity 30.6
- d = 1.378 Å, intensity 12.2
- d = 1.371 Å, intensity 11.9

Cell and atoms:
```
8
Lattice="-3.5003 3.5003 4.4700 3.5003 -3.5003 4.4700 3.5003 3.5003 -4.4700" Properties=species:S:1:pos:R:3 pbc="T T T"
Dy 0.0000 0.0000 0.0000
Dy 1.7453 1.7453 2.1957
Dy 1.7551 -1.7551 6.6657
Dy -1.7551 1.7551 6.6657
Dy 1.7551 1.7551 6.6657
Bi 3.5003 0.0000 4.4289
Bi 0.0000 3.5003 4.4289
H 0.0000 0.0000 2.2633
```